For Pr4NO4, a structure optimized by DFT (PBE) gives the calculated PXRD pattern in this record (Cu Kα).
No peak broadening, texture or thermal motion is included.

Largest 12 diffraction maxima, by angle, 15° ≤ 2θ ≤ 90°:
| d_spacing | I_rel | (hkl) |
| --- | --- | --- |
| 5.133 | 7 | 1 0 1 |
| 3.281 | 100 | 1 1 2 |
| 2.912 | 24 | 2 0 0 |
| 2.715 | 12 | 0 0 4 |
| 2.533 | 8 | 2 1 1 |
| 2.114 | 6 | 2 1 3 |
| 2.059 | 14 | 2 2 0 |
| 1.986 | 29 | 2 0 4 |
| 1.744 | 24 | 3 1 2 |
| 1.657 | 13 | 1 1 6 |
| 1.641 | 8 | 2 2 4 |
| 1.291 | 9 | 3 1 6 |

a = 5.825 Å, b = 5.825 Å, c = 10.860 Å
α = 90.00°, β = 90.00°, γ = 90.00°
Space group I-42m (No. 121)
Unique sites:
Pr 0.220 0.220 0.378
N 0.000 0.000 0.500
O 0.000 0.000 0.230
O 0.000 0.500 0.000